Entry 1:
For Ba2Mn2ClF7, a DFT-relaxed cell (PBE+U, Alexandria) gives the computed X-ray diffraction stick pattern in this record (Cu Ka).
Neutral-atom scattering factors, no anomalous dispersion.

Structure:
```
data_Ba2Mn2ClF7
_chemical_formula_sum 'Ba4 Mn4 Cl2 F14'
_cell_length_a 8.013
_cell_length_b 6.007
_cell_length_c 9.168
_cell_angle_alpha 90.00
_cell_angle_beta 107.32
_cell_angle_gamma 90.00
_symmetry_space_group_name_H-M 'P 1 21/m 1'
_symmetry_Int_Tables_number 11
loop_
_symmetry_equiv_pos_as_xyz
'x,y,z'
'-x,-y,-z'
'-x,y+1/2,-z'
'x,-y+1/2,z'
loop_
_atom_site_label
_atom_site_type_symbol
_atom_site_fract_x
_atom_site_fract_y
_atom_site_fract_z
Ba1 Ba 0.157 0.250 0.410
Ba2 Ba 0.186 0.250 0.926
Mn1 Mn 0.318 0.750 0.175
Mn2 Mn 0.328 0.750 0.737
Cl1 Cl 0.387 0.750 0.472
F1 F 0.125 0.503 0.162
F2 F 0.137 0.004 0.653
F3 F 0.230 0.750 0.929
F4 F 0.489 0.006 0.161
```

The 10 most intense peaks (10° ≤ 2θ ≤ 90°), in order of falling intensity:
- 27.65°, rel. 100
- 25.07°, rel. 73
- 25.18°, rel. 69
- 50.06°, rel. 58
- 29.75°, rel. 35
- 39.32°, rel. 35
- 40.12°, rel. 30
- 39.90°, rel. 30
- 23.26°, rel. 25
- 38.10°, rel. 25

---

Entry 2:
For Ba2MnNiClF7, a DFT-relaxed cell (PBE+U, Alexandria) gives the computed X-ray diffraction stick pattern in this record (Cu Ka).
Neutral-atom scattering factors, no anomalous dispersion.

Structure:
```
data_Ba2MnNiClF7
_chemical_formula_sum 'Ba4 Mn2 Ni2 Cl2 F14'
_cell_length_a 7.848
_cell_length_b 5.914
_cell_length_c 9.059
_cell_angle_alpha 90.00
_cell_angle_beta 106.33
_cell_angle_gamma 90.00
_symmetry_space_group_name_H-M 'P 1 21/m 1'
_symmetry_Int_Tables_number 11
loop_
_symmetry_equiv_pos_as_xyz
'x,y,z'
'-x,-y,-z'
'-x,y+1/2,-z'
'x,-y+1/2,z'
loop_
_atom_site_label
_atom_site_type_symbol
_atom_site_fract_x
_atom_site_fract_y
_atom_site_fract_z
Ba1 Ba 0.163 0.250 0.409
Ba2 Ba 0.194 0.250 0.927
Mn1 Mn 0.334 0.750 0.734
Ni1 Ni 0.311 0.750 0.169
Cl1 Cl 0.385 0.750 0.457
F1 F 0.128 0.509 0.160
F2 F 0.138 0.002 0.653
F3 F 0.238 0.750 0.935
F4 F 0.485 0.503 0.164
```

The 10 most intense peaks (10° ≤ 2θ ≤ 90°), in order of falling intensity:
- 25.47°, rel. 100
- 28.09°, rel. 65
- 30.22°, rel. 25
- 39.81°, rel. 24
- 23.62°, rel. 22
- 50.81°, rel. 21
- 38.72°, rel. 20
- 50.89°, rel. 20
- 40.70°, rel. 19
- 40.55°, rel. 19